Record 1
This entry pairs a crystal structure of Cs3Li2GaMo4O16 with its calculated powder X-ray diffraction pattern. Radiation: Cu Kα (λ = 1.5418 Å). Structure: a DFT-relaxed cell (PBE+U, the Materials Project).
No peak broadening, texture or thermal motion is included.

Most intense lines, 10 to 90 degrees two-theta, in order of falling intensity:
26.69°, d 3.340, I = 100
22.49°, d 3.953, I = 35
33.63°, d 2.665, I = 17
44.64°, d 2.030, I = 9
31.99°, d 2.798, I = 9
39.45°, d 2.284, I = 9
32.09°, d 2.789, I = 9
50.60°, d 1.804, I = 7
44.80°, d 2.023, I = 7
17.38°, d 5.101, I = 6
54.95°, d 1.671, I = 6
52.76°, d 1.735, I = 6

Structural model:
a = 10.824 Å, b = 10.824 Å, c = 10.824 Å
α = 109.35°, β = 109.35°, γ = 109.71°
Positions (direct):
1 Cs 0.000 0.000 0.000
2 Cs 0.235 0.625 0.110
3 Cs 0.375 0.485 0.610
4 Cs 0.515 0.125 0.890
5 Cs 0.750 0.250 0.500
6 Cs 0.875 0.765 0.390
7 Li 0.375 0.001 0.126
8 Li 0.751 0.625 0.626
9 Li 0.875 0.249 0.874
10 Li 0.999 0.125 0.374
11 Ga 0.250 0.750 0.500
12 Ga 0.500 0.500 0.000
13 Mo 0.126 0.681 0.747
14 Mo 0.129 0.184 0.753
15 Mo 0.319 0.066 0.445
16 Mo 0.431 0.376 0.247
17 Mo 0.621 0.874 0.555
18 Mo 0.624 0.871 0.055
19 Mo 0.816 0.569 0.945
20 Mo 0.934 0.379 0.253
21 O 0.012 0.134 0.564
22 O 0.055 0.248 0.869
23 O 0.079 0.581 0.329
24 O 0.124 0.019 0.749
25 O 0.125 0.520 0.751
26 O 0.179 0.116 0.378
27 O 0.198 0.821 0.936
28 O 0.251 0.921 0.502
29 O 0.252 0.749 0.671
30 O 0.270 0.375 0.251
31 O 0.331 0.329 0.829
32 O 0.371 0.002 0.307
33 O 0.379 0.186 0.131
34 O 0.419 0.748 0.498
35 O 0.480 0.231 0.605
36 O 0.498 0.669 0.998
37 O 0.499 0.502 0.171
38 O 0.552 0.988 0.122
39 O 0.571 0.448 0.436
40 O 0.625 0.876 0.895
41 O 0.626 0.875 0.395
42 O 0.671 0.501 0.002
43 O 0.695 0.064 0.693
44 O 0.738 0.802 0.622
45 O 0.752 0.621 0.807
46 O 0.769 0.374 0.249
47 O 0.814 0.945 0.193
48 O 0.866 0.429 0.878
49 O 0.884 0.262 0.064
50 O 0.936 0.629 0.631
51 O 0.981 0.730 0.105
52 O 0.998 0.305 0.369


Record 2
This entry pairs a crystal structure of Li3Fe8B8O24 with its calculated powder X-ray diffraction pattern. Radiation: Cu Kα (λ = 1.5418 Å). Structure: a DFT-relaxed cell (PBE+U, the Materials Project).
No peak broadening, texture or thermal motion is included.

Most intense lines, 10 to 90 degrees two-theta, in order of falling intensity:
21.44°, d 4.145, I = 100
35.28°, d 2.544, I = 79
19.61°, d 4.526, I = 68
26.12°, d 3.411, I = 60
34.23°, d 2.620, I = 58
26.37°, d 3.380, I = 44
19.47°, d 4.559, I = 38
40.47°, d 2.229, I = 36
49.19°, d 1.852, I = 31
21.51°, d 4.130, I = 26
33.97°, d 2.639, I = 23
40.85°, d 2.209, I = 22

Structural model:
a = 5.236 Å, b = 9.126 Å, c = 11.414 Å
α = 66.74°, β = 77.00°, γ = 89.56°
Positions (direct):
1 Li 0.000 0.000 0.000
2 Li 0.045 0.025 0.266
3 Li 0.276 0.290 0.752
4 Fe 0.012 0.675 0.977
5 Fe 0.049 0.385 0.233
6 Fe 0.265 0.594 0.478
7 Fe 0.284 0.963 0.732
8 Fe 0.512 0.184 0.991
9 Fe 0.559 0.868 0.234
10 Fe 0.756 0.096 0.491
11 Fe 0.795 0.471 0.735
12 B 0.065 0.720 0.225
13 B 0.266 0.927 0.478
14 B 0.299 0.628 0.735
15 B 0.515 0.847 0.980
16 B 0.540 0.211 0.239
17 B 0.761 0.424 0.486
18 B 0.794 0.146 0.733
19 B 0.998 0.343 0.982
20 O 0.019 0.962 0.457
21 O 0.044 0.130 0.751
22 O 0.077 0.444 0.036
23 O 0.131 0.217 0.976
24 O 0.149 0.726 0.785
25 O 0.177 0.527 0.692
26 O 0.265 0.859 0.949
27 O 0.272 0.684 0.286
28 O 0.391 0.808 0.447
29 O 0.394 0.334 0.243
30 O 0.395 0.015 0.527
31 O 0.448 0.098 0.201
32 O 0.499 0.435 0.495
33 O 0.560 0.625 0.728
34 O 0.600 0.958 0.022
35 O 0.637 0.255 0.769
36 O 0.668 0.729 0.970
37 O 0.683 0.057 0.679
38 O 0.776 0.379 0.930
39 O 0.788 0.194 0.273
40 O 0.896 0.324 0.430
41 O 0.899 0.507 0.536
42 O 0.949 0.862 0.207
43 O 0.980 0.612 0.179


Record 3
This entry pairs a crystal structure of Li12CrNi3P4C4O28 with its calculated powder X-ray diffraction pattern. Radiation: Cu Kα (λ = 1.5418 Å). Structure: a DFT-relaxed cell (PBE+U, the Materials Project).
No peak broadening, texture or thermal motion is included.

Most intense lines, 10 to 90 degrees two-theta, in order of falling intensity:
27.69°, d 3.221, I = 100
10.52°, d 8.407, I = 88
21.49°, d 4.134, I = 53
19.98°, d 4.444, I = 39
26.62°, d 3.349, I = 35
17.34°, d 5.114, I = 29
36.84°, d 2.440, I = 27
40.72°, d 2.216, I = 23
25.60°, d 3.479, I = 22
43.06°, d 2.101, I = 19
51.91°, d 1.761, I = 19
22.59°, d 3.937, I = 19

Structural model:
a = 8.436 Å, b = 6.442 Å, c = 9.981 Å
α = 90.00°, β = 94.72°, γ = 90.00°
Positions (direct):
1 Li 0.000 0.000 0.000
2 Li 0.001 0.000 0.500
3 Li 0.178 0.230 0.261
4 Li 0.178 0.231 0.756
5 Li 0.178 0.769 0.756
6 Li 0.178 0.770 0.261
7 Li 0.627 0.271 0.508
8 Li 0.627 0.729 0.508
9 Li 0.628 0.272 0.008
10 Li 0.628 0.728 0.008
11 Li 0.799 0.500 0.765
12 Li 0.807 0.500 0.268
13 Cr 0.237 0.500 0.991
14 Ni 0.237 0.500 0.486
15 Ni 0.570 0.000 0.779
16 Ni 0.571 0.000 0.281
17 P 0.318 0.000 0.523
18 P 0.319 0.000 0.024
19 P 0.488 0.500 0.741
20 P 0.493 0.500 0.247
21 C 0.863 0.000 0.734
22 C 0.864 0.000 0.234
23 C 0.932 0.500 0.032
24 C 0.943 0.500 0.533
25 O 0.010 0.000 0.203
26 O 0.010 0.000 0.704
27 O 0.049 0.500 0.126
28 O 0.060 0.500 0.627
29 O 0.213 0.186 0.972
30 O 0.213 0.187 0.471
31 O 0.213 0.813 0.471
32 O 0.213 0.814 0.972
33 O 0.322 0.500 0.794
34 O 0.323 0.500 0.295
35 O 0.340 0.000 0.680
36 O 0.342 0.000 0.180
37 O 0.467 0.500 0.584
38 O 0.480 0.500 0.091
39 O 0.484 0.000 0.469
40 O 0.484 0.000 0.968
41 O 0.592 0.313 0.793
42 O 0.592 0.687 0.793
43 O 0.595 0.312 0.302
44 O 0.595 0.688 0.302
45 O 0.747 0.000 0.140
46 O 0.747 0.000 0.640
47 O 0.787 0.500 0.066
48 O 0.797 0.500 0.563
49 O 0.826 0.000 0.858
50 O 0.828 0.000 0.358
51 O 0.962 0.500 0.907
52 O 0.980 0.500 0.409


Record 4
This entry pairs a crystal structure of Na3Li3Fe2P2C2O14 with its calculated powder X-ray diffraction pattern. Radiation: Cu Kα (λ = 1.5418 Å). Structure: a DFT-relaxed cell (PBE+U, the Materials Project).
No peak broadening, texture or thermal motion is included.

Most intense lines, 10 to 90 degrees two-theta, in order of falling intensity:
26.89°, d 3.315, I = 100
10.11°, d 8.748, I = 97
35.20°, d 2.549, I = 48
33.71°, d 2.659, I = 46
19.91°, d 4.459, I = 35
20.41°, d 4.352, I = 34
26.48°, d 3.367, I = 33
30.64°, d 2.918, I = 25
34.14°, d 2.626, I = 25
55.42°, d 1.658, I = 25
38.30°, d 2.350, I = 21
35.02°, d 2.562, I = 18

Structural model:
a = 6.631 Å, b = 8.752 Å, c = 10.201 Å
α = 91.60°, β = 90.47°, γ = 90.61°
Positions (direct):
1 Na 0.000 0.000 0.000
2 Na 0.001 0.487 0.752
3 Na 0.001 0.999 0.499
4 Na 0.494 0.489 0.249
5 Na 0.741 0.660 0.003
6 Na 0.751 0.660 0.503
7 Li 0.256 0.841 0.250
8 Li 0.279 0.836 0.751
9 Li 0.477 0.020 0.012
10 Li 0.479 0.019 0.508
11 Li 0.526 0.464 0.733
12 Li 0.971 0.463 0.235
13 Fe 0.246 0.390 0.013
14 Fe 0.251 0.390 0.514
15 Fe 0.742 0.093 0.234
16 Fe 0.745 0.093 0.732
17 P 0.245 0.153 0.272
18 P 0.258 0.155 0.771
19 P 0.737 0.328 0.977
20 P 0.748 0.327 0.477
21 C 0.258 0.701 0.489
22 C 0.260 0.702 0.989
23 C 0.738 0.794 0.759
24 C 0.757 0.795 0.259
25 O 0.057 0.050 0.241
26 O 0.059 0.069 0.735
27 O 0.223 0.314 0.212
28 O 0.245 0.591 0.900
29 O 0.247 0.669 0.612
30 O 0.250 0.590 0.400
31 O 0.258 0.669 0.113
32 O 0.272 0.316 0.711
33 O 0.275 0.172 0.423
34 O 0.277 0.172 0.924
35 O 0.277 0.840 0.450
36 O 0.277 0.841 0.951
37 O 0.424 0.060 0.212
38 O 0.428 0.048 0.717
39 O 0.557 0.427 0.025
40 O 0.567 0.429 0.518
41 O 0.720 0.647 0.765
42 O 0.729 0.166 0.532
43 O 0.731 0.166 0.034
44 O 0.732 0.314 0.824
45 O 0.738 0.880 0.365
46 O 0.742 0.880 0.865
47 O 0.749 0.860 0.146
48 O 0.751 0.860 0.646
49 O 0.759 0.312 0.323
50 O 0.781 0.648 0.266
51 O 0.930 0.418 0.024
52 O 0.939 0.415 0.529


Record 5
This entry pairs a crystal structure of Li6NiO4 with its calculated powder X-ray diffraction pattern. Radiation: Cu Kα (λ = 1.5418 Å). Structure: a DFT-relaxed cell (PBE+U, the Materials Project).
No peak broadening, texture or thermal motion is included.

Most intense lines, 10 to 90 degrees two-theta, in order of falling intensity:
23.43°, d 3.796, I = 100
23.25°, d 3.826, I = 100
19.02°, d 4.667, I = 83
55.70°, d 1.650, I = 70
35.81°, d 2.507, I = 50
36.19°, d 2.482, I = 48
33.51°, d 2.674, I = 41
43.34°, d 2.088, I = 30
32.98°, d 2.716, I = 30
45.12°, d 2.009, I = 26
26.70°, d 3.339, I = 25
46.04°, d 1.971, I = 24

Structural model:
a = 6.524 Å, b = 6.678 Å, c = 4.668 Å
α = 90.00°, β = 90.00°, γ = 90.00°
Positions (direct):
1 Li 0.000 0.000 0.199
2 Li 0.000 0.000 0.699
3 Li 0.218 0.718 0.253
4 Li 0.219 0.281 0.252
5 Li 0.281 0.781 0.748
6 Li 0.282 0.218 0.747
7 Li 0.500 0.500 0.301
8 Li 0.500 0.500 0.801
9 Li 0.718 0.782 0.747
10 Li 0.719 0.219 0.748
11 Li 0.781 0.719 0.252
12 Li 0.782 0.282 0.253
13 Ni 0.000 0.500 0.764
14 Ni 0.500 0.000 0.236
15 O 0.000 0.233 0.960
16 O 0.000 0.767 0.960
17 O 0.240 0.999 0.462
18 O 0.260 0.499 0.538
19 O 0.500 0.267 0.040
20 O 0.500 0.733 0.040
21 O 0.740 0.501 0.538
22 O 0.760 0.001 0.462


Record 6
This entry pairs a crystal structure of NaPr2Ti2MnO9 with its calculated powder X-ray diffraction pattern. Radiation: Cu Kα (λ = 1.5418 Å). Structure: a DFT-relaxed cell (PBE+U, the Materials Project).
No peak broadening, texture or thermal motion is included.

Most intense lines, 10 to 90 degrees two-theta, in order of falling intensity:
31.99°, d 2.798, I = 100
32.77°, d 2.733, I = 97
32.29°, d 2.773, I = 50
32.25°, d 2.776, I = 49
19.68°, d 4.511, I = 45
45.10°, d 2.010, I = 34
47.09°, d 1.930, I = 32
46.95°, d 1.935, I = 29
39.91°, d 2.259, I = 23
58.13°, d 1.587, I = 22
58.27°, d 1.584, I = 21
56.88°, d 1.619, I = 19

Structural model:
a = 5.556 Å, b = 5.605 Å, c = 23.158 Å
α = 89.59°, β = 89.71°, γ = 87.82°
Positions (direct):
1 Na 0.000 0.000 0.000
2 Na 0.002 0.003 0.667
3 Na 0.006 0.004 0.334
4 Na 0.505 0.467 0.167
5 Pr 0.022 0.950 0.167
6 Pr 0.025 0.945 0.501
7 Pr 0.027 0.945 0.835
8 Pr 0.507 0.447 0.500
9 Pr 0.508 0.447 0.834
10 Pr 0.518 0.525 0.001
11 Pr 0.520 0.524 0.333
12 Pr 0.520 0.525 0.667
13 Ti 0.012 0.477 0.588
14 Ti 0.012 0.477 0.921
15 Ti 0.029 0.484 0.251
16 Ti 0.495 0.982 0.083
17 Ti 0.514 0.985 0.413
18 Ti 0.515 0.986 0.746
19 Ti 0.528 0.003 0.250
20 Ti 0.990 0.473 0.085
21 Mn 0.010 0.479 0.416
22 Mn 0.011 0.479 0.750
23 Mn 0.515 0.985 0.585
24 Mn 0.517 0.986 0.918
25 O 0.088 0.466 0.333
26 O 0.092 0.465 0.668
27 O 0.093 0.469 0.001
28 O 0.229 0.200 0.236
29 O 0.232 0.208 0.434
30 O 0.234 0.209 0.768
31 O 0.236 0.205 0.901
32 O 0.236 0.206 0.568
33 O 0.239 0.211 0.099
34 O 0.271 0.703 0.238
35 O 0.277 0.689 0.569
36 O 0.279 0.690 0.903
37 O 0.285 0.724 0.096
38 O 0.302 0.720 0.433
39 O 0.304 0.720 0.767
40 O 0.434 0.966 0.667
41 O 0.435 0.966 0.333
42 O 0.441 0.973 0.001
43 O 0.590 0.993 0.167
44 O 0.595 0.002 0.502
45 O 0.597 0.003 0.835
46 O 0.697 0.266 0.406
47 O 0.699 0.267 0.739
48 O 0.727 0.255 0.264
49 O 0.732 0.291 0.595
50 O 0.733 0.293 0.929
51 O 0.741 0.265 0.071
52 O 0.774 0.751 0.263
53 O 0.782 0.759 0.404
54 O 0.783 0.752 0.071
55 O 0.784 0.759 0.738
56 O 0.787 0.761 0.597
57 O 0.789 0.761 0.930
58 O 0.935 0.499 0.499
59 O 0.937 0.499 0.833
60 O 0.941 0.500 0.167